No. 1
The following is a computed powder diffractogram of Ca4Np3ScN8. It was derived from the GGA-PBE geometry in Alexandria, using λ = 1.5418 Å (Cu Kα).
Neutral-atom scattering factors, no anomalous dispersion.

Peak list (12 most intense, 2θ from 15° to 90°, sorted by position)
- 15.63 deg, rel. 90
- 15.78 deg, rel. 26
- 18.20 deg, rel. 19
- 30.49 deg, rel. 62
- 31.56 deg, rel. 32
- 31.87 deg, rel. 92
- 36.88 deg, rel. 100
- 40.27 deg, rel. 22
- 52.93 deg, rel. 33
- 53.35 deg, rel. 34
- 55.95 deg, rel. 24
- 63.31 deg, rel. 28

Structure:
a = 6.9197 Å, b = 6.9197 Å, c = 6.9197 Å
α = 59.52°, β = 59.52°, γ = 59.52°
Fractional coordinates of all 16 atoms:
Ca  0.0000  0.0000  0.0000
Ca  0.0000  0.5000  0.5000
Ca  0.5000  0.0000  0.5000
Ca  0.5000  0.5000  0.0000
Np  0.0000  0.0000  0.5000
Np  0.0000  0.5000  0.0000
Np  0.5000  0.0000  0.0000
Sc  0.5000  0.5000  0.5000
N  0.2327  0.7396  0.7396
N  0.2398  0.2398  0.2398
N  0.2604  0.2604  0.7673
N  0.2604  0.7673  0.2604
N  0.7396  0.2327  0.7396
N  0.7396  0.7396  0.2327
N  0.7602  0.7602  0.7602
N  0.7673  0.2604  0.2604


No. 2
The following is a computed powder diffractogram of LaMg6Ni6. It was derived from the GGA-PBE geometry in Alexandria, using λ = 1.5418 Å (Cu Kα).
Neutral-atom scattering factors, no anomalous dispersion.

Peak list (12 most intense, 2θ from 15° to 90°, sorted by position)
- 19.94 deg, rel. 36
- 28.00 deg, rel. 42
- 28.25 deg, rel. 48
- 34.89 deg, rel. 25
- 39.51 deg, rel. 39
- 39.95 deg, rel. 56
- 40.25 deg, rel. 100
- 40.51 deg, rel. 71
- 45.31 deg, rel. 39
- 57.88 deg, rel. 24
- 58.44 deg, rel. 32
- 72.17 deg, rel. 22

Structure:
a = 6.8739 Å, b = 6.8739 Å, c = 6.8739 Å
α = 136.04°, β = 99.26°, γ = 96.85°
Fractional coordinates of all 13 atoms:
La  0.0000  0.0000  0.0000
Mg  0.1958  0.6958  0.5000
Mg  0.3377  0.0000  0.3377
Mg  0.3496  0.3496  0.0000
Mg  0.6504  0.6504  0.0000
Mg  0.6623  0.0000  0.6623
Mg  0.8042  0.3042  0.5000
Ni  0.0000  0.0000  0.5000
Ni  0.0000  0.5000  0.0000
Ni  0.2315  0.5000  0.7315
Ni  0.5000  0.0000  0.0000
Ni  0.5000  0.5000  0.5000
Ni  0.7685  0.5000  0.2685


No. 3
The following is a computed powder diffractogram of Cs3MnCl6. It was derived from the GGA-PBE geometry in Alexandria, using λ = 1.5418 Å (Cu Kα).
Neutral-atom scattering factors, no anomalous dispersion.

Peak list (12 most intense, 2θ from 15° to 90°, sorted by position)
- 22.24 deg, rel. 100
- 27.32 deg, rel. 20
- 31.65 deg, rel. 54
- 34.58 deg, rel. 10
- 39.02 deg, rel. 40
- 45.37 deg, rel. 34
- 51.08 deg, rel. 27
- 56.37 deg, rel. 11
- 61.35 deg, rel. 27
- 70.69 deg, rel. 11
- 75.15 deg, rel. 12
- 88.09 deg, rel. 15

Structure:
a = 7.9959 Å, b = 7.9959 Å, c = 7.9959 Å
α = 60.00°, β = 60.00°, γ = 60.00°
Fractional coordinates of all 10 atoms:
Cs  0.0000  0.0000  0.0000
Cs  0.2500  0.2500  0.2500
Cs  0.7500  0.7500  0.7500
Mn  0.5000  0.5000  0.5000
Cl  0.2878  0.2878  0.7122
Cl  0.2878  0.7122  0.2878
Cl  0.2878  0.7122  0.7122
Cl  0.7122  0.2878  0.2878
Cl  0.7122  0.2878  0.7122
Cl  0.7122  0.7122  0.2878


No. 4
The following is a computed powder diffractogram of K2CuSeCl6. It was derived from the GGA-PBE geometry in Alexandria, using λ = 1.5418 Å (Cu Kα).
Neutral-atom scattering factors, no anomalous dispersion.

Peak list (12 most intense, 2θ from 15° to 90°, sorted by position)
- 16.65 deg, rel. 50
- 17.54 deg, rel. 78
- 24.28 deg, rel. 100
- 24.91 deg, rel. 42
- 30.11 deg, rel. 41
- 33.68 deg, rel. 64
- 35.42 deg, rel. 64
- 35.60 deg, rel. 63
- 49.68 deg, rel. 38
- 49.81 deg, rel. 37
- 51.10 deg, rel. 40
- 62.60 deg, rel. 35

Structure:
a = 7.3496 Å, b = 7.3327 Å, c = 7.1497 Å
α = 60.98°, β = 60.74°, γ = 58.28°
Fractional coordinates of all 10 atoms:
K  0.2500  0.2500  0.2500
K  0.7500  0.7500  0.7500
Cu  0.0000  0.0000  0.0000
Se  0.5000  0.5000  0.5000
Cl  0.2091  0.2091  0.7909
Cl  0.2576  0.7424  0.7424
Cl  0.2590  0.7410  0.2590
Cl  0.7410  0.2590  0.7410
Cl  0.7424  0.2576  0.2576
Cl  0.7909  0.7909  0.2091


No. 5
The following is a computed powder diffractogram of BaTl4Pb4. It was derived from the GGA-PBE geometry in Alexandria, using λ = 1.5418 Å (Cu Kα).
Neutral-atom scattering factors, no anomalous dispersion.

Peak list (12 most intense, 2θ from 15° to 90°, sorted by position)
- 30.42 deg, rel. 100
- 34.49 deg, rel. 19
- 35.65 deg, rel. 32
- 50.45 deg, rel. 24
- 51.31 deg, rel. 11
- 59.29 deg, rel. 16
- 60.83 deg, rel. 25
- 63.30 deg, rel. 12
- 82.19 deg, rel. 11
- 83.53 deg, rel. 5
- 83.73 deg, rel. 6
- 85.73 deg, rel. 5

Structure:
a = 7.9897 Å, b = 7.9897 Å, c = 7.9897 Å
α = 96.08°, β = 96.08°, γ = 142.02°
Fractional coordinates of all 9 atoms:
Ba  0.0000  0.0000  0.0000
Tl  0.3223  0.3223  0.6445
Tl  0.3223  0.6777  0.0000
Tl  0.6777  0.3223  0.0000
Tl  0.6777  0.6777  0.3555
Pb  0.0000  0.3469  0.3469
Pb  0.0000  0.6531  0.6531
Pb  0.3469  0.0000  0.3469
Pb  0.6531  0.0000  0.6531


No. 6
The following is a computed powder diffractogram of Tl12CdSn3. It was derived from the GGA-PBE geometry in Alexandria, using λ = 1.5418 Å (Cu Kα).
Neutral-atom scattering factors, no anomalous dispersion.

Peak list (12 most intense, 2θ from 15° to 90°, sorted by position)
- 31.61 deg, rel. 100
- 35.14 deg, rel. 38
- 39.56 deg, rel. 14
- 50.54 deg, rel. 14
- 53.93 deg, rel. 23
- 60.85 deg, rel. 32
- 66.01 deg, rel. 13
- 66.82 deg, rel. 12
- 82.95 deg, rel. 7
- 84.90 deg, rel. 6
- 87.59 deg, rel. 6
- 88.33 deg, rel. 12

Structure:
a = 5.1079 Å, b = 5.1079 Å, c = 18.2266 Å
α = 90.00°, β = 90.00°, γ = 90.00°
Fractional coordinates of all 16 atoms:
Tl  0.0000  0.0000  0.0000
Tl  0.0000  0.0000  0.2497
Tl  0.0000  0.0000  0.5000
Tl  0.0000  0.0000  0.7503
Tl  0.0000  0.5000  0.1240
Tl  0.0000  0.5000  0.3742
Tl  0.0000  0.5000  0.6258
Tl  0.0000  0.5000  0.8760
Tl  0.5000  0.0000  0.1240
Tl  0.5000  0.0000  0.3742
Tl  0.5000  0.0000  0.6258
Tl  0.5000  0.0000  0.8760
Cd  0.5000  0.5000  0.5000
Sn  0.5000  0.5000  0.0000
Sn  0.5000  0.5000  0.2489
Sn  0.5000  0.5000  0.7511